Starting from the PBE geometry in Alexandria, the X-ray powder pattern of SmTh3Te6 was computed for Cu Kα, 1.54184 Å.

Principal peaks in the range 2θ = 15–90°, low angle first:
- 3.884 Å, I = 27, (3 0 -1)
- 3.701 Å, I = 52, (1 1 1)
- 3.159 Å, I = 52, (2 1 1)
- 3.102 Å, I = 40, (1 1 -3)
- 2.837 Å, I = 78, (2 1 2)
- 2.803 Å, I = 100, (3 1 0)
- 2.715 Å, I = 36, (4 0 -3)
- 2.673 Å, I = 42, (0 0 5)
- 2.586 Å, I = 72, (2 1 -4)
- 2.460 Å, I = 28, (1 0 5)
- 2.444 Å, I = 28, (1 1 4)
- 2.113 Å, I = 61, (0 2 0)

Crystal structure
```
data_SmTh3Te6
_chemical_formula_sum 'Sm2 Th6 Te12'
_space_group_name_H-M_alt 'P 1 21/m 1'
_space_group_IT_number 11
_cell_length_a 11.6333
_cell_length_b 4.2255
_cell_length_c 13.8382
_cell_angle_alpha 90.00
_cell_angle_beta 105.07
_cell_angle_gamma 90.00
loop_
_space_group_symop_operation_xyz
'x,y,z'
'-x,-y,-z'
'-x,y+1/2,-z'
'x,-y+1/2,z'
loop_
_atom_site_label
_atom_site_fract_x
_atom_site_fract_y
_atom_site_fract_z
Sm1 0.0397 0.2500 0.1949
Th1 0.1271 0.2500 0.5733
Th2 0.3186 0.7500 0.9777
Th3 0.3698 0.2500 0.3622
Te1 0.1114 0.2500 0.9606
Te2 0.1471 0.7500 0.4007
Te3 0.1994 0.7500 0.7449
Te4 0.2445 0.7500 0.1884
Te5 0.4175 0.2500 0.5985
Te6 0.4734 0.2500 0.1276
```

---

Starting from the PBE geometry in Alexandria, the X-ray powder pattern of La4In2I5 was computed for Cu Kα, 1.54184 Å.

Principal peaks in the range 2θ = 15–90°, low angle first:
- 4.295 Å, I = 22, (6 0 0)
- 3.479 Å, I = 56, (3 1 1)
- 3.142 Å, I = 59, (8 0 -1)
- 3.086 Å, I = 100, (1 1 2)
- 2.765 Å, I = 41, (5 1 -2)
- 2.670 Å, I = 31, (4 0 3)
- 2.379 Å, I = 18, (9 1 0)
- 2.258 Å, I = 44, (9 1 1)
- 2.244 Å, I = 17, (4 0 -4)
- 2.138 Å, I = 24, (0 2 0)
- 1.767 Å, I = 18, (8 2 -1)
- 1.358 Å, I = 18, (1 3 2)

Crystal structure
```
data_La4In2I5
_chemical_formula_sum 'La8 In4 I10'
_space_group_name_H-M_alt 'C 1 2/m 1'
_space_group_IT_number 12
_cell_length_a 25.9048
_cell_length_b 4.2751
_cell_length_c 9.2672
_cell_angle_alpha 90.00
_cell_angle_beta 95.86
_cell_angle_gamma 90.00
loop_
_space_group_symop_operation_xyz
'x,y,z'
'-x,-y,-z'
'-x,y,-z'
'x,-y,z'
'x+1/2,y+1/2,z'
'-x+1/2,-y+1/2,-z'
'-x+1/2,y+1/2,-z'
'x+1/2,-y+1/2,z'
loop_
_atom_site_label
_atom_site_fract_x
_atom_site_fract_y
_atom_site_fract_z
La1 0.0189 0.0000 0.2779
La2 0.1671 0.5000 0.4424
In1 0.0557 0.5000 0.5450
I1 0.0000 0.5000 0.0000
I2 0.1390 0.0000 0.1838
I3 0.2164 0.0000 0.6845
```

---

Starting from the PBE geometry in Alexandria, the X-ray powder pattern of Cs5K2Na6 was computed for Cu Kα, 1.54184 Å.

Principal peaks in the range 2θ = 15–90°, low angle first:
- 5.736 Å, I = 23, (0 1 5)
- 5.108 Å, I = 100, (1 1 0)
- 4.598 Å, I = 24, (1 0 7)
- 3.962 Å, I = 63, (1 1 6)
- 3.238 Å, I = 16, (1 1 9)
- 2.949 Å, I = 45, (3 0 0)
- 2.674 Å, I = 31, (1 1 12)
- 2.554 Å, I = 17, (2 2 0)
- 2.366 Å, I = 15, (2 2 6)
- 2.150 Å, I = 31, (3 0 12)
- 1.846 Å, I = 20, (4 1 6)
- 1.645 Å, I = 16, (4 1 12)

Crystal structure
```
data_Cs5K2Na6
_chemical_formula_sum 'Cs15 K6 Na18'
_space_group_name_H-M_alt 'R -3 m'
_space_group_IT_number 166
_space_group_name_Hall '-R 3 2"'
_cell_length_a 10.2159
_cell_length_b 10.2159
_cell_length_c 37.6752
_cell_angle_alpha 90.00
_cell_angle_beta 90.00
_cell_angle_gamma 120.00
loop_
_atom_site_label
_atom_site_fract_x
_atom_site_fract_y
_atom_site_fract_z
Cs1 0.0000 0.0000 0.0000
Cs2 0.0000 0.0000 0.2487
Cs3 0.0000 0.0000 0.4178
K1 0.0000 0.0000 0.1135
Na1 0.0000 0.3300 0.5000
```

---

Starting from the PBE geometry in Alexandria, the X-ray powder pattern of DyHf2Fe9 was computed for Cu Kα, 1.54184 Å.

Principal peaks in the range 2θ = 15–90°, low angle first:
- 4.237 Å, I = 17, (1 0 1)
- 2.668 Å, I = 53, (1 0 7)
- 2.486 Å, I = 59, (1 1 0)
- 2.448 Å, I = 32, (0 1 8)
- 2.144 Å, I = 37, (0 2 1)
- 2.106 Å, I = 100, (1 1 6)
- 2.024 Å, I = 12, (0 2 4)
- 1.933 Å, I = 12, (0 1 11)
- 1.468 Å, I = 18, (2 1 7)
- 1.428 Å, I = 11, (1 2 8)
- 1.350 Å, I = 23, (0 3 6)
- 1.243 Å, I = 20, (2 2 0)

Crystal structure
```
data_DyHf2Fe9
_chemical_formula_sum 'Dy3 Hf6 Fe27'
_space_group_name_H-M_alt 'R -3 m'
_space_group_IT_number 166
_space_group_name_Hall '-R 3 2"'
_cell_length_a 4.9719
_cell_length_b 4.9719
_cell_length_c 23.8014
_cell_angle_alpha 90.00
_cell_angle_beta 90.00
_cell_angle_gamma 120.00
loop_
_atom_site_label
_atom_site_fract_x
_atom_site_fract_y
_atom_site_fract_z
Dy1 0.0000 0.0000 0.0000
Hf1 0.0000 0.0000 0.1428
Fe1 0.0000 0.0000 0.3330
Fe2 0.0000 0.0000 0.5000
Fe3 0.0030 0.5015 0.9150
```

---

Starting from the PBE geometry in Alexandria, the X-ray powder pattern of Nd3HoZn4 was computed for Cu Kα, 1.54184 Å.

Principal peaks in the range 2θ = 15–90°, low angle first:
- 3.651 Å, I = 30, (1 0 4)
- 2.588 Å, I = 100, (0 1 8)
- 2.576 Å, I = 99, (1 1 0)
- 2.105 Å, I = 7, (0 2 4)
- 1.826 Å, I = 35, (2 0 8)
- 1.497 Å, I = 18, (1 0 16)
- 1.490 Å, I = 36, (1 2 8)
- 1.487 Å, I = 18, (3 0 0)
- 1.294 Å, I = 11, (0 2 16)
- 1.288 Å, I = 11, (2 2 0)
- 1.156 Å, I = 15, (2 1 16)
- 1.153 Å, I = 15, (3 1 8)

Crystal structure
```
data_Nd3HoZn4
_chemical_formula_sum 'Nd9 Ho3 Zn12'
_space_group_name_H-M_alt 'R -3 m'
_space_group_IT_number 166
_space_group_name_Hall '-R 3 2"'
_cell_length_a 5.1515
_cell_length_b 5.1515
_cell_length_c 25.4212
_cell_angle_alpha 90.00
_cell_angle_beta 90.00
_cell_angle_gamma 120.00
loop_
_atom_site_label
_atom_site_fract_x
_atom_site_fract_y
_atom_site_fract_z
Nd1 0.0000 0.0000 0.0000
Nd2 0.0000 0.0000 0.2484
Ho1 0.0000 0.0000 0.5000
Zn1 0.0000 0.0000 0.1266
Zn2 0.0000 0.0000 0.3769
```

---

Starting from the PBE geometry in Alexandria, the X-ray powder pattern of La3TlCl3 was computed for Cu Kα, 1.54184 Å.

Principal peaks in the range 2θ = 15–90°, low angle first:
- 3.896 Å, I = 32, (1 3 1)
- 3.080 Å, I = 100, (0 4 2)
- 2.909 Å, I = 12, (3 3 0)
- 2.897 Å, I = 10, (0 0 3)
- 2.421 Å, I = 12, (4 2 0)
- 2.414 Å, I = 10, (1 1 3)
- 2.183 Å, I = 38, (4 4 0)
- 2.172 Å, I = 37, (0 0 4)
- 1.780 Å, I = 13, (4 8 -2)
- 1.540 Å, I = 12, (0 8 4)
- 1.381 Å, I = 11, (4 8 2)
- 1.374 Å, I = 11, (8 4 -6)

Crystal structure
```
data_La3TlCl3
_chemical_formula_sum 'La24 Tl8 Cl24'
_space_group_name_H-M_alt 'C 1 2 1'
_space_group_IT_number 5
_cell_length_a 12.3192
_cell_length_b 17.4474
_cell_length_c 10.6127
_cell_angle_alpha 90.00
_cell_angle_beta 124.96
_cell_angle_gamma 90.00
loop_
_space_group_symop_operation_xyz
'x,y,z'
'-x,y,-z'
'x+1/2,y+1/2,z'
'-x+1/2,y+1/2,-z'
loop_
_atom_site_label
_atom_site_fract_x
_atom_site_fract_y
_atom_site_fract_z
La1 0.0000 0.0000 0.0000
La2 0.0000 0.2552 0.0000
La3 0.1237 0.6263 0.7525
La4 0.1277 0.8776 0.7552
La5 0.1289 0.1289 0.7526
La6 0.2461 0.5013 0.4974
La7 0.2487 0.2539 0.5026
Tl1 0.0000 0.0026 0.5000
Tl2 0.0000 0.7526 0.5000
Tl3 0.1250 0.1276 0.2500
Cl1 0.0000 0.2503 0.5000
Cl2 0.0000 0.5049 0.5000
Cl3 0.1239 0.8787 0.2523
Cl4 0.1273 0.6276 0.2546
Cl5 0.1285 0.3764 0.2523
Cl6 0.2466 0.0037 0.9977
Cl7 0.2489 0.2514 0.0023
```

---

Starting from the PBE geometry in Alexandria, the X-ray powder pattern of Ba2YCu3O6F was computed for Cu Kα, 1.54184 Å.

Principal peaks in the range 2θ = 15–90°, low angle first:
- 3.224 Å, I = 8, (1 0 2)
- 2.833 Å, I = 43, (0 1 3)
- 2.763 Å, I = 100, (1 1 0)
- 2.408 Å, I = 17, (0 0 5)
- 2.275 Å, I = 11, (1 1 3)
- 1.998 Å, I = 17, (0 2 0)
- 1.909 Å, I = 15, (2 0 0)
- 1.624 Å, I = 11, (1 1 6)
- 1.620 Å, I = 19, (1 2 3)
- 1.583 Å, I = 16, (2 1 3)
- 1.380 Å, I = 9, (2 2 0)
- 1.213 Å, I = 7, (3 1 0)

Crystal structure
```
data_Ba2YCu3O6F
_chemical_formula_sum 'Ba2 Y1 Cu3 O6 F1'
_space_group_name_H-M_alt 'P m m m'
_space_group_IT_number 47
_cell_length_a 3.8173
_cell_length_b 3.9961
_cell_length_c 12.0483
_cell_angle_alpha 90.00
_cell_angle_beta 90.00
_cell_angle_gamma 90.00
loop_
_space_group_symop_operation_xyz
'x,y,z'
'-x,-y,-z'
'-x,-y,z'
'x,y,-z'
'x,-y,-z'
'-x,y,z'
'-x,y,-z'
'x,-y,z'
loop_
_atom_site_label
_atom_site_fract_x
_atom_site_fract_y
_atom_site_fract_z
Ba1 0.0000 0.0000 0.1942
Y1 0.0000 0.0000 0.5000
Cu1 0.5000 0.5000 0.0000
Cu2 0.5000 0.5000 0.3621
O1 0.0000 0.5000 0.3831
O2 0.5000 0.0000 0.3780
O3 0.5000 0.5000 0.1554
F1 0.5000 0.0000 0.0000
```

---

Starting from the PBE geometry in Alexandria, the X-ray powder pattern of Nb6C5O was computed for Cu Kα, 1.54184 Å.

Principal peaks in the range 2θ = 15–90°, low angle first:
- 2.616 Å, I = 33, (2 0 0)
- 2.611 Å, I = 94, (0 0 2)
- 2.373 Å, I = 2, (2 2 -1)
- 2.262 Å, I = 100, (1 3 1)
- 1.767 Å, I = 3, (1 5 -1)
- 1.715 Å, I = 2, (3 1 -2)
- 1.600 Å, I = 61, (2 0 2)
- 1.364 Å, I = 41, (1 3 3)
- 1.363 Å, I = 4, (2 0 -4)
- 1.308 Å, I = 5, (4 0 0)
- 1.306 Å, I = 14, (0 0 4)
- 1.131 Å, I = 8, (2 6 2)

Crystal structure
```
data_Nb6C5O
_chemical_formula_sum 'Nb12 C10 O2'
_space_group_name_H-M_alt 'C 1 2/m 1'
_space_group_IT_number 12
_cell_length_a 5.5462
_cell_length_b 9.5950
_cell_length_c 5.5365
_cell_angle_alpha 90.00
_cell_angle_beta 109.42
_cell_angle_gamma 90.00
loop_
_space_group_symop_operation_xyz
'x,y,z'
'-x,-y,-z'
'-x,y,-z'
'x,-y,z'
'x+1/2,y+1/2,z'
'-x+1/2,-y+1/2,-z'
'-x+1/2,y+1/2,-z'
'x+1/2,-y+1/2,z'
loop_
_atom_site_label
_atom_site_fract_x
_atom_site_fract_y
_atom_site_fract_z
Nb1 0.2354 0.0000 0.2717
Nb2 0.2348 0.1785 0.7430
C1 0.0000 0.0000 0.5000
C2 0.0000 0.1662 0.0000
C3 0.0000 0.3369 0.5000
O1 0.0000 0.5000 0.0000
```

---

Starting from the PBE geometry in Alexandria, the X-ray powder pattern of Th2Mg3Cd4 was computed for Cu Kα, 1.54184 Å.

Principal peaks in the range 2θ = 15–90°, low angle first:
- 4.800 Å, I = 30, (1 1 1)
- 4.264 Å, I = 37, (0 4 0)
- 3.421 Å, I = 26, (1 1 2)
- 2.975 Å, I = 78, (1 3 2)
- 2.818 Å, I = 100, (1 5 1)
- 2.757 Å, I = 76, (2 2 1)
- 2.674 Å, I = 62, (0 2 3)
- 2.509 Å, I = 24, (2 4 0)
- 2.501 Å, I = 53, (2 0 2)
- 2.405 Å, I = 33, (2 4 1)
- 1.998 Å, I = 28, (1 7 2)
- 1.488 Å, I = 35, (2 6 4)

Crystal structure
```
data_Th2Mg3Cd4
_chemical_formula_sum 'Th8 Mg12 Cd16'
_space_group_name_H-M_alt 'C m c e'
_space_group_IT_number 64
_space_group_name_Hall '-C 2ac 2'
_cell_length_a 6.2076
_cell_length_b 17.0541
_cell_length_c 8.4473
_cell_angle_alpha 90.00
_cell_angle_beta 90.00
_cell_angle_gamma 90.00
loop_
_atom_site_label
_atom_site_fract_x
_atom_site_fract_y
_atom_site_fract_z
Th1 0.0000 0.0969 0.1078
Mg1 0.0000 0.0000 0.5000
Mg2 0.2500 0.2361 0.7500
Cd1 0.0000 0.1719 0.4824
Cd2 0.2500 0.0671 0.7500
```

---

Starting from the PBE geometry in Alexandria, the X-ray powder pattern of In3Hg was computed for Cu Kα, 1.54184 Å.

Principal peaks in the range 2θ = 15–90°, low angle first:
- 2.877 Å, I = 40, (0 0 2)
- 2.711 Å, I = 100, (2 2 1)
- 2.396 Å, I = 10, (1 3 1)
- 2.305 Å, I = 15, (4 0 0)
- 2.062 Å, I = 9, (0 4 0)
- 1.798 Å, I = 14, (4 0 2)
- 1.676 Å, I = 9, (0 4 2)
- 1.627 Å, I = 21, (2 2 3)
- 1.537 Å, I = 6, (4 4 0)
- 1.397 Å, I = 9, (6 2 1)
- 1.355 Å, I = 8, (4 4 2)
- 1.151 Å, I = 6, (6 2 3)

Crystal structure
```
data_In3Hg
_chemical_formula_sum 'In12 Hg4'
_space_group_name_H-M_alt 'C m c m'
_space_group_IT_number 63
_space_group_name_Hall '-C 2c 2'
_cell_length_a 9.2181
_cell_length_b 8.2498
_cell_length_c 5.7524
_cell_angle_alpha 90.00
_cell_angle_beta 90.00
_cell_angle_gamma 90.00
loop_
_atom_site_label
_atom_site_fract_x
_atom_site_fract_y
_atom_site_fract_z
In1 0.0000 0.1529 0.2500
In2 0.2247 0.1280 0.7500
Hg1 0.0000 0.4057 0.7500
```

---

Starting from the PBE geometry in Alexandria, the X-ray powder pattern of YAl3C3 was computed for Cu Kα, 1.54184 Å.

Principal peaks in the range 2θ = 15–90°, low angle first:
- 4.334 Å, I = 15, (0 0 4)
- 2.815 Å, I = 100, (1 0 2)
- 2.454 Å, I = 64, (1 0 4)
- 2.258 Å, I = 16, (1 0 5)
- 2.167 Å, I = 20, (0 0 8)
- 2.073 Å, I = 41, (1 0 6)
- 1.719 Å, I = 37, (1 1 0)
- 1.498 Å, I = 16, (1 0 10)
- 1.467 Å, I = 13, (2 0 2)
- 1.408 Å, I = 11, (2 0 4)
- 1.347 Å, I = 25, (1 1 8)
- 1.116 Å, I = 10, (2 1 2)

Crystal structure
```
data_YAl3C3
_chemical_formula_sum 'Y2 Al6 C6'
_space_group_name_H-M_alt 'P 63 m c'
_space_group_IT_number 186
_space_group_name_Hall 'P 6c -2c'
_cell_length_a 3.4373
_cell_length_b 3.4373
_cell_length_c 17.3346
_cell_angle_alpha 90.00
_cell_angle_beta 90.00
_cell_angle_gamma 120.00
loop_
_atom_site_label
_atom_site_fract_x
_atom_site_fract_y
_atom_site_fract_z
Y1 0.0000 0.0000 0.0000
Al1 0.3333 0.6667 0.1335
Al2 0.3333 0.6667 0.3661
Al3 0.3333 0.6667 0.7521
C1 0.3333 0.6667 0.2495
C2 0.3333 0.6667 0.5918
C3 0.3333 0.6667 0.9049
```

---

Starting from the PBE geometry in Alexandria, the X-ray powder pattern of Pr3AsS5Cl2 was computed for Cu Kα, 1.54184 Å.

Principal peaks in the range 2θ = 15–90°, low angle first:
- 4.326 Å, I = 67, (3 1 -1)
- 3.910 Å, I = 100, (3 1 1)
- 3.654 Å, I = 41, (6 0 0)
- 3.504 Å, I = 73, (0 2 0)
- 3.477 Å, I = 37, (5 1 -1)
- 2.804 Å, I = 54, (4 2 -1)
- 2.528 Å, I = 70, (6 2 0)
- 2.477 Å, I = 45, (2 2 -2)
- 2.357 Å, I = 36, (6 0 2)
- 2.342 Å, I = 29, (8 0 -2)
- 2.098 Å, I = 30, (9 1 1)
- 1.872 Å, I = 31, (7 3 0)

Crystal structure
```
data_Pr3AsS5Cl2
_chemical_formula_sum 'Pr12 As4 S20 Cl8'
_space_group_name_H-M_alt 'C 1 c 1'
_space_group_IT_number 9
_cell_length_a 22.1862
_cell_length_b 7.0021
_cell_length_c 7.1046
_cell_angle_alpha 90.00
_cell_angle_beta 98.84
_cell_angle_gamma 90.00
loop_
_space_group_symop_operation_xyz
'x,y,z'
'x,-y,z+1/2'
'x+1/2,y+1/2,z'
'x+1/2,-y+1/2,z+1/2'
loop_
_atom_site_label
_atom_site_fract_x
_atom_site_fract_y
_atom_site_fract_z
Pr1 0.0000 0.2016 0.0000
Pr2 0.1534 0.2073 0.6509
Pr3 0.3001 0.2097 0.1346
As1 0.4545 0.1896 0.9421
S1 0.0308 0.4259 0.6678
S2 0.0735 0.0555 0.3304
S3 0.2295 0.0543 0.3954
S4 0.3862 0.0516 0.4717
S5 0.4190 0.4171 0.1310
Cl1 0.1604 0.3937 0.0150
Cl2 0.2845 0.4007 0.7701
```